Simulated PXRD pattern
Compound: ErScSn2
Radiation: Cu Kα X-rays
Structure: a GGA-PBE-relaxed structure
Peak positions follow from Bragg's law for the DFT cell and can differ from measured ones.

Atomic structure:
abc: 3.257 6.030 11.981
angles: 90.00 90.00 90.00
Space group Amm2 (No. 38)
Inequivalent atoms, fractional coordinates:
Er1 0.000 0.000 0.000 [2 per cell]
Sc1 0.000 0.000 0.272 [2 per cell]
Sn1 0.000 0.000 0.509 [2 per cell]
Sn2 0.000 0.000 0.746 [2 per cell]

Top 10 peaks for 10 to 90 degrees two-theta, in order of rising 2θ:
2θ (°)  I_rel
14.79  29
16.46  25
27.38  100
29.63  82
29.83  77
40.78  69
40.93  66
42.55  59
51.34  69
73.23  24